No. 1
The following is a simulated powder diffraction line list of Be2IrBr. It was derived from a cell relaxed with GGA-PBE, using Cu Kα X-rays.
Neutral-atom scattering factors, no anomalous dispersion.

Principal peaks in the range 10 to 90 degrees two-theta, in order of falling intensity:
index, two_theta, I_rel
0 1 1, 32.9, 100.0
1 0 2, 44.0, 36.3
0 0 1, 16.3, 35.6
1 0 0, 28.3, 31.9
2 0 1, 61.3, 26.0
1 1 0, 50.2, 21.3
0 1 3, 58.7, 14.9
1 2 1, 83.1, 13.0

Atomic structure:
Lattice parameters (Å, degrees): 3.6357 3.6357 5.4426 90.00 90.00 120.00
Space group P3m1 (No. 156)
Asymmetric unit:
Be 0.0000 0.0000 0.0000 (multiplicity 1)
Be 0.3333 0.6667 0.0706 (multiplicity 1)
Ir 0.6667 0.3333 0.2097 (multiplicity 1)
Br 0.0000 0.0000 0.5720 (multiplicity 1)

***

No. 2
The following is a simulated powder diffraction line list of KLiPa2N4. It was derived from a cell relaxed with GGA-PBE, using Cu Kα X-rays.
Neutral-atom scattering factors, no anomalous dispersion.

Principal peaks in the range 10 to 90 degrees two-theta, in order of falling intensity:
index, two_theta, I_rel
1 1 2, 30.8, 100.0
1 1 0, 22.0, 73.1
0 0 2, 21.3, 44.4
3 1 2, 55.4, 39.2
2 0 0, 31.3, 38.3
2 0 2, 38.2, 34.6
2 0 4, 54.5, 22.9
2 2 0, 44.9, 20.9

Atomic structure:
Lattice parameters (Å, degrees): 5.7127 5.7127 8.3348 90.00 90.00 90.00
Space group I-42m (No. 121)
Asymmetric unit:
K 0.0000 0.0000 0.0000 (multiplicity 2)
Li 0.0000 0.0000 0.5000 (multiplicity 2)
Pa 0.0000 0.5000 0.2500 (multiplicity 4)
N 0.2160 0.2160 0.6535 (multiplicity 8)

***

No. 3
The following is a simulated powder diffraction line list of DyYMnCu. It was derived from a cell relaxed with GGA-PBE, using Cu Kα X-rays.
Neutral-atom scattering factors, no anomalous dispersion.

Principal peaks in the range 10 to 90 degrees two-theta, in order of falling intensity:
index, two_theta, I_rel
2 2 0, 36.2, 100.0
4 2 2, 65.1, 34.2
4 0 0, 52.1, 17.1
6 2 0, 88.0, 14.9
2 0 0, 25.4, 13.8
4 4 0, 76.8, 10.4
1 1 1, 21.9, 7.9
4 2 0, 58.8, 5.9

Atomic structure:
Lattice parameters (Å, degrees): 7.0206 7.0206 7.0206 90.00 90.00 90.00
Space group F-43m (No. 216)
Asymmetric unit:
Dy 0.0000 0.0000 0.0000 (multiplicity 4)
Y 0.0000 0.0000 0.5000 (multiplicity 4)
Mn 0.2500 0.2500 0.7500 (multiplicity 4)
Cu 0.2500 0.2500 0.2500 (multiplicity 4)